No. 1
The following is a theoretical powder X-ray diffraction pattern of MgAg2O4. It was derived from a crystal structure in the Materials Project, relaxed with GGA-PBE, using Cu Kα X-rays.
Peak positions follow from Bragg's law for the DFT cell and can differ from measured ones.

Largest 8 diffraction maxima, most intense first, 15° ≤ 2θ ≤ 90°:
| two_theta | d/Å | intensity | hkl |
| --- | --- | --- | --- |
| 32.90 | 2.722 | 100 | 3 1 1 |
| 17.01 | 5.213 | 93 | 1 1 1 |
| 39.94 | 2.257 | 59 | 4 0 0 |
| 57.76 | 1.596 | 51 | 4 4 0 |
| 34.41 | 2.606 | 44 | 2 2 2 |
| 52.68 | 1.738 | 35 | 5 1 1 |
| 43.70 | 2.071 | 22 | 3 3 1 |
| 81.97 | 1.175 | 19 | 5 5 3 |

Cell and atoms:
Lattice parameters (Å, degrees): 9.029 9.029 9.029 90.00 90.00 90.00
Space group Fd-3m (No. 227, origin choice 2)
One atom of each set of equivalent atoms:
Mg (0.125, 0.125, 0.125)
Ag (0.000, 0.000, 0.500)
O (0.004, 0.004, 0.746)


No. 2
The following is a theoretical powder X-ray diffraction pattern of MgAg2O4. It was derived from a crystal structure in the Materials Project, relaxed with GGA-PBE, using Cu Kα X-rays.
Peak positions follow from Bragg's law for the DFT cell and can differ from measured ones.

Largest 8 diffraction maxima, most intense first, 15° ≤ 2θ ≤ 90°:
| two_theta | d/Å | intensity | hkl |
| --- | --- | --- | --- |
| 32.00 | 2.797 | 100 | 1 2 1 |
| 36.47 | 2.464 | 67 | 1 0 3 |
| 27.38 | 3.258 | 56 | 2 0 0 |
| 29.42 | 3.036 | 48 | 1 1 2 |
| 61.03 | 1.518 | 38 | 2 2 4 |
| 32.54 | 2.752 | 37 | 2 1 1 |
| 51.39 | 1.778 | 35 | 3 2 1 |
| 54.58 | 1.681 | 30 | 0 4 0 |

Cell and atoms:
Lattice parameters (Å, degrees): 6.515 6.720 7.983 90.00 90.00 90.00
Space group Imma (No. 74)
One atom of each set of equivalent atoms:
Mg (0.250, 0.250, 0.250)
Ag (0.000, 0.000, 0.000)
Ag (0.000, 0.250, 0.651)
O (0.000, 0.052, 0.256)
O (0.206, 0.250, 0.986)


No. 3
The following is a theoretical powder X-ray diffraction pattern of MgAg2O4. It was derived from a crystal structure in the Materials Project, relaxed with GGA-PBE, using Cu Kα X-rays.
Peak positions follow from Bragg's law for the DFT cell and can differ from measured ones.

Largest 8 diffraction maxima, most intense first, 15° ≤ 2θ ≤ 90°:
| two_theta | d/Å | intensity | hkl |
| --- | --- | --- | --- |
| 16.12 | 5.499 | 100 | 0 0 2 |
| 32.50 | 2.755 | 60 | 1 2 0 |
| 36.31 | 2.474 | 41 | 1 2 2 |
| 36.60 | 2.455 | 40 | 1 2 -2 |
| 36.11 | 2.487 | 36 | 2 0 2 |
| 46.41 | 1.957 | 26 | -1 2 4 |
| 32.09 | 2.789 | 24 | 2 0 0 |
| 46.89 | 1.937 | 16 | 1 2 -4 |

Cell and atoms:
Lattice parameters (Å, degrees): 5.578 6.344 10.998 89.36 89.98 90.00
Space group P1 (No. 1)
One atom of each set of equivalent atoms:
Mg (0.000, 0.000, 0.000)
Mg (0.161, 0.499, 0.501)
Mg (0.444, 0.499, 0.000)
Mg (0.715, 0.998, 0.500)
Ag (0.044, 0.500, 0.215)
Ag (0.045, 0.499, 0.785)
Ag (0.115, 0.000, 0.715)
Ag (0.115, 0.999, 0.285)
Ag (0.579, 0.249, 0.250)
Ag (0.579, 0.749, 0.250)
Ag (0.580, 0.249, 0.750)
Ag (0.580, 0.749, 0.750)
O (0.229, 0.247, 0.934)
O (0.229, 0.248, 0.069)
O (0.229, 0.752, 0.066)
O (0.229, 0.752, 0.932)
O (0.357, 0.493, 0.664)
O (0.357, 0.505, 0.336)
O (0.474, 0.992, 0.364)
O (0.475, 0.006, 0.636)
O (0.684, 0.493, 0.864)
O (0.684, 0.507, 0.136)
O (0.802, 0.993, 0.165)
O (0.804, 0.005, 0.836)
O (0.930, 0.251, 0.432)
O (0.930, 0.746, 0.434)
O (0.931, 0.251, 0.566)
O (0.931, 0.747, 0.569)


No. 4
The following is a theoretical powder X-ray diffraction pattern of MgAg2O4. It was derived from a crystal structure in the Materials Project, relaxed with GGA-PBE, using Cu Kα X-rays.
Peak positions follow from Bragg's law for the DFT cell and can differ from measured ones.

Largest 8 diffraction maxima, most intense first, 15° ≤ 2θ ≤ 90°:
| two_theta | d/Å | intensity | hkl |
| --- | --- | --- | --- |
| 31.98 | 2.799 | 100 | 0 2 3 |
| 17.95 | 4.941 | 50 | 0 0 2 |
| 30.04 | 2.974 | 45 | 1 1 0 |
| 38.62 | 2.331 | 40 | 1 3 0 |
| 42.89 | 2.108 | 38 | 1 3 2 |
| 33.77 | 2.654 | 32 | 0 4 0 |
| 18.98 | 4.677 | 31 | 0 2 1 |
| 55.84 | 1.646 | 29 | 0 0 6 |

Cell and atoms:
Lattice parameters (Å, degrees): 3.098 10.617 9.882 90.00 90.00 90.00
Space group Cmcm (No. 63)
One atom of each set of equivalent atoms:
Mg (0.000, 0.109, 0.250)
Ag (0.000, 0.369, 0.073)
O (0.000, 0.000, 0.000)
O (0.000, 0.289, 0.621)
O (0.000, 0.475, 0.250)


Which formula does entry 4 have? MgAg2O4